[1]
Starting from the GGA-PBE geometry in the Materials Project, the powder X-ray diffraction pattern of Mg4Si3 was simulated for a wavelength of 1.5418 Å.

Most intense lines, 2θ = 5–70°, by angle:
| Position (°2θ) | intensity | index |
| --- | --- | --- |
| 34.9 | 32 | 1 1 -2 |
| 36.7 | 100 | 2 4 0 |
| 37.0 | 59 | 3 3 -1 |
| 38.1 | 52 | 2 0 1 |
| 40.2 | 57 | 1 3 -2 |
| 42.3 | 30 | 3 3 -2 |

Structural model:
```
data_Mg4Si3
_space_group_name_H-M_alt 'C 1 m 1'
_space_group_IT_number 8
_cell_length_a 8.8141
_cell_length_b 12.9662
_cell_length_c 5.4214
_cell_angle_alpha 90.00
_cell_angle_beta 121.76
_cell_angle_gamma 90.00
loop_
_space_group_symop_operation_xyz
'x,y,z'
'x,-y,z'
'x+1/2,y+1/2,z'
'x+1/2,-y+1/2,z'
loop_
_atom_site_label
_atom_site_type_symbol
_atom_site_fract_x
_atom_site_fract_y
_atom_site_fract_z
Mg1 Mg 0.0000 0.0000 0.0000
Mg2 Mg 0.0527 0.5000 0.8778
Mg3 Mg 0.1695 0.3599 0.4723
Mg4 Mg 0.1956 0.1230 0.7533
Mg5 Mg 0.3722 0.3154 0.1491
Si1 Si 0.0000 0.2732 0.8289
Si2 Si 0.2660 0.1560 0.3339
Si3 Si 0.3808 0.0000 0.2396
Si4 Si 0.3873 0.5000 0.4058
```

***

[2]
Starting from the GGA-PBE geometry in the Materials Project, the powder X-ray diffraction pattern of Mg3Si4 was simulated for a wavelength of 1.5418 Å.

Most intense lines, 2θ = 5–70°, by angle:
| Position (°2θ) | intensity | index |
| --- | --- | --- |
| 33.9 | 74 | 3 1 -3 |
| 35.7 | 64 | 1 1 2 |
| 36.0 | 70 | 6 0 -2 |
| 37.2 | 57 | 1 1 -3 |
| 37.5 | 58 | 5 1 -3 |
| 41.4 | 100 | 0 2 0 |

Structural model:
```
data_Mg3Si4
_space_group_name_H-M_alt 'C 1 m 1'
_space_group_IT_number 8
_cell_length_a 15.2232
_cell_length_b 4.3665
_cell_length_c 9.9852
_cell_angle_alpha 90.00
_cell_angle_beta 130.27
_cell_angle_gamma 90.00
loop_
_space_group_symop_operation_xyz
'x,y,z'
'x,-y,z'
'x+1/2,y+1/2,z'
'x+1/2,-y+1/2,z'
loop_
_atom_site_label
_atom_site_type_symbol
_atom_site_fract_x
_atom_site_fract_y
_atom_site_fract_z
Mg1 Mg 0.0000 0.0000 0.0000
Mg2 Mg 0.0059 0.5000 0.7500
Mg3 Mg 0.1258 0.5000 0.5518
Mg4 Mg 0.2293 0.0000 0.4062
Mg5 Mg 0.2856 0.5000 0.9796
Mg6 Mg 0.4009 0.5000 0.4471
Si1 Si 0.0026 0.0000 0.2865
Si2 Si 0.1420 0.0000 0.7497
Si3 Si 0.1587 0.5000 0.1352
Si4 Si 0.1926 0.0000 0.0358
Si5 Si 0.3265 0.0000 0.8074
Si6 Si 0.3398 0.5000 0.6565
Si7 Si 0.3965 0.0000 0.2722
Si8 Si 0.4867 0.0000 0.1421
```

***

[3]
Starting from the GGA-PBE geometry in the Materials Project, the powder X-ray diffraction pattern of Mg3Si4 was simulated for a wavelength of 1.5418 Å.

Most intense lines, 2θ = 5–70°, by angle:
| Position (°2θ) | intensity | index |
| --- | --- | --- |
| 36.1 | 100 | 0 1 3 |
| 36.7 | 55 | 0 1 -4 |
| 37.4 | 46 | 0 4 -2 |
| 38.4 | 71 | 0 4 -1 |
| 39.1 | 64 | 0 4 -3 |
| 40.6 | 64 | 1 2 0 |

Structural model:
```
data_Mg3Si4
_space_group_name_H-M_alt 'P 1'
_space_group_IT_number 1
_cell_length_a 2.9066
_cell_length_b 9.7101
_cell_length_c 10.0146
_cell_angle_alpha 116.26
_cell_angle_beta 91.60
_cell_angle_gamma 97.64
loop_
_space_group_symop_operation_xyz
'x,y,z'
loop_
_atom_site_label
_atom_site_type_symbol
_atom_site_fract_x
_atom_site_fract_y
_atom_site_fract_z
Mg1 Mg 0.0000 0.0000 0.0000
Mg2 Mg 0.0516 0.8380 0.3335
Mg3 Mg 0.2908 0.1857 0.5925
Mg4 Mg 0.3509 0.7218 0.9990
Mg5 Mg 0.5212 0.6015 0.4607
Mg6 Mg 0.7434 0.3168 0.1768
Si1 Si 0.2230 0.7740 0.7374
Si2 Si 0.4031 0.5556 0.1589
Si3 Si 0.5478 0.1434 0.8574
Si4 Si 0.6175 0.0615 0.2684
Si5 Si 0.6427 0.4134 0.9021
Si6 Si 0.6956 0.9431 0.6168
Si7 Si 0.7331 0.5302 0.7251
Si8 Si 0.8400 0.3398 0.4611
```

***

[4]
Starting from the GGA-PBE geometry in the Materials Project, the powder X-ray diffraction pattern of Mg4Si3 was simulated for a wavelength of 1.5418 Å.

Most intense lines, 2θ = 5–70°, by angle:
| Position (°2θ) | intensity | index |
| --- | --- | --- |
| 34.6 | 52 | 0 2 -1 |
| 36.0 | 100 | -1 2 2 |
| 36.3 | 24 | 1 1 -2 |
| 36.9 | 49 | 1 1 3 |
| 37.3 | 23 | 0 2 3 |
| 41.2 | 23 | 2 -1 1 |

Structural model:
```
data_Mg4Si3
_space_group_name_H-M_alt 'P 1'
_space_group_IT_number 1
_cell_length_a 5.2844
_cell_length_b 6.7892
_cell_length_c 7.9708
_cell_angle_alpha 68.86
_cell_angle_beta 86.25
_cell_angle_gamma 84.76
loop_
_space_group_symop_operation_xyz
'x,y,z'
loop_
_atom_site_label
_atom_site_type_symbol
_atom_site_fract_x
_atom_site_fract_y
_atom_site_fract_z
Mg1 Mg 0.0000 0.0000 0.0000
Mg2 Mg 0.0029 0.4167 0.1143
Mg3 Mg 0.0437 0.7911 0.7231
Mg4 Mg 0.1997 0.6148 0.3616
Mg5 Mg 0.2944 0.3619 0.7611
Mg6 Mg 0.5027 0.1175 0.1705
Mg7 Mg 0.5884 0.7686 0.5420
Mg8 Mg 0.7689 0.2851 0.5205
Si1 Si 0.0100 0.0106 0.3506
Si2 Si 0.2931 0.1542 0.5102
Si3 Si 0.4714 0.5834 0.0040
Si4 Si 0.4882 0.9573 0.8187
Si5 Si 0.6935 0.6921 0.2213
Si6 Si 0.7812 0.4225 0.8223
```

***

[5]
Starting from the GGA-PBE geometry in the Materials Project, the powder X-ray diffraction pattern of Mg4Si3 was simulated for a wavelength of 1.5418 Å.

Most intense lines, 2θ = 5–70°, by angle:
| Position (°2θ) | intensity | index |
| --- | --- | --- |
| 34.6 | 88 | 1 -2 3 |
| 34.7 | 69 | -2 2 2 |
| 35.8 | 75 | 2 1 -2 |
| 36.2 | 67 | 1 1 -4 |
| 38.9 | 100 | 0 3 0 |
| 40.5 | 87 | -1 2 4 |

Structural model:
```
data_Mg4Si3
_space_group_name_H-M_alt 'P 1'
_space_group_IT_number 1
_cell_length_a 6.8255
_cell_length_b 7.2925
_cell_length_c 11.5260
_cell_angle_alpha 91.48
_cell_angle_beta 95.37
_cell_angle_gamma 107.26
loop_
_space_group_symop_operation_xyz
'x,y,z'
loop_
_atom_site_label
_atom_site_type_symbol
_atom_site_fract_x
_atom_site_fract_y
_atom_site_fract_z
Mg1 Mg 0.0000 0.0000 0.0000
Mg2 Mg 0.0172 0.2912 0.2068
Mg3 Mg 0.0469 0.2858 0.6068
Mg4 Mg 0.1865 0.6518 0.4310
Mg5 Mg 0.2279 0.6861 0.0997
Mg6 Mg 0.2673 0.3764 0.9003
Mg7 Mg 0.2936 0.2251 0.4084
Mg8 Mg 0.4332 0.2668 0.1434
Mg9 Mg 0.4978 0.9285 0.8839
Mg10 Mg 0.5165 0.2942 0.6892
Mg11 Mg 0.5778 0.9039 0.6158
Mg12 Mg 0.6448 0.6692 0.0582
Mg13 Mg 0.7505 0.3290 0.4046
Mg14 Mg 0.7957 0.3544 0.9677
Mg15 Mg 0.8543 0.8980 0.4094
Mg16 Mg 0.9093 0.6493 0.6396
Si1 Si 0.0800 0.6977 0.8690
Si2 Si 0.1295 0.9431 0.2385
Si3 Si 0.1385 0.0150 0.7760
Si4 Si 0.2000 0.9713 0.5750
Si5 Si 0.3074 0.6135 0.7233
Si6 Si 0.5011 0.9594 0.2910
Si7 Si 0.5120 0.5921 0.2909
Si8 Si 0.5404 0.5649 0.5045
Si9 Si 0.6570 0.0328 0.1081
Si10 Si 0.6730 0.6215 0.8288
Si11 Si 0.8446 0.1366 0.7879
Si12 Si 0.8842 0.6091 0.2382
```

***

[6]
Starting from the GGA-PBE geometry in the Materials Project, the powder X-ray diffraction pattern of Mg4Si7 was simulated for a wavelength of 1.5418 Å.

Most intense lines, 2θ = 5–70°, by angle:
| Position (°2θ) | intensity | index |
| --- | --- | --- |
| 35.3 | 61 | 7 1 0 |
| 35.7 | 60 | 7 1 -1 |
| 38.1 | 88 | 7 1 1 |
| 40.2 | 100 | 3 1 -3 |
| 43.0 | 42 | 12 0 -1 |
| 50.5 | 65 | 0 2 0 |

Structural model:
```
data_Mg4Si7
_space_group_name_H-M_alt 'C 1 m 1'
_space_group_IT_number 8
_cell_length_a 25.3310
_cell_length_b 3.6143
_cell_length_c 8.7446
_cell_angle_alpha 90.00
_cell_angle_beta 99.38
_cell_angle_gamma 90.00
loop_
_space_group_symop_operation_xyz
'x,y,z'
'x,-y,z'
'x+1/2,y+1/2,z'
'x+1/2,-y+1/2,z'
loop_
_atom_site_label
_atom_site_type_symbol
_atom_site_fract_x
_atom_site_fract_y
_atom_site_fract_z
Mg1 Mg 0.0000 0.0000 0.0000
Mg2 Mg 0.0242 0.0000 0.5987
Mg3 Mg 0.1151 0.5000 0.5018
Mg4 Mg 0.1809 0.5000 0.9863
Mg5 Mg 0.3070 0.0000 0.6408
Mg6 Mg 0.3413 0.5000 0.1424
Mg7 Mg 0.4054 0.5000 0.5725
Mg8 Mg 0.4549 0.0000 0.3055
Si1 Si 0.0469 0.0000 0.2988
Si2 Si 0.0688 0.5000 0.8536
Si3 Si 0.0874 0.5000 0.1462
Si4 Si 0.1252 0.0000 0.7707
Si5 Si 0.1530 0.0000 0.2271
Si6 Si 0.2045 0.0000 0.4928
Si7 Si 0.2146 0.5000 0.7032
Si8 Si 0.2503 0.0000 0.1768
Si9 Si 0.2675 0.5000 0.3800
Si10 Si 0.2689 0.0000 0.9121
Si11 Si 0.3470 0.0000 0.3739
Si12 Si 0.3577 0.5000 0.8582
Si13 Si 0.4137 0.0000 0.9754
Si14 Si 0.4705 0.0000 0.7628
```

***

[7]
Starting from the GGA-PBE geometry in the Materials Project, the powder X-ray diffraction pattern of Mg4Si3 was simulated for a wavelength of 1.5418 Å.

Most intense lines, 2θ = 5–70°, by angle:
| Position (°2θ) | intensity | index |
| --- | --- | --- |
| 33.8 | 62 | 2 1 1 |
| 34.7 | 82 | 0 1 3 |
| 35.1 | 74 | 0 2 -1 |
| 36.1 | 100 | 1 1 -2 |
| 39.9 | 55 | 1 -2 1 |
| 44.3 | 52 | 0 3 2 |

Structural model:
```
data_Mg4Si3
_space_group_name_H-M_alt 'P 1'
_space_group_IT_number 1
_cell_length_a 5.5635
_cell_length_b 6.4160
_cell_length_c 7.8828
_cell_angle_alpha 72.04
_cell_angle_beta 81.95
_cell_angle_gamma 81.17
loop_
_space_group_symop_operation_xyz
'x,y,z'
loop_
_atom_site_label
_atom_site_type_symbol
_atom_site_fract_x
_atom_site_fract_y
_atom_site_fract_z
Mg1 Mg 0.0000 0.0000 0.0000
Mg2 Mg 0.0629 0.1887 0.2965
Mg3 Mg 0.1436 0.5375 0.9155
Mg4 Mg 0.4018 0.6542 0.5254
Mg5 Mg 0.5336 0.1708 0.4178
Mg6 Mg 0.6250 0.8176 0.8002
Mg7 Mg 0.7077 0.6127 0.2042
Mg8 Mg 0.8990 0.3611 0.6371
Si1 Si 0.1378 0.9541 0.6616
Si2 Si 0.1891 0.6144 0.2506
Si3 Si 0.4159 0.2346 0.7712
Si4 Si 0.4641 0.0272 0.0960
Si5 Si 0.6758 0.3668 0.9822
Si6 Si 0.8827 0.7946 0.4488
```

***

[8]
Starting from the GGA-PBE geometry in the Materials Project, the powder X-ray diffraction pattern of Mg4Si3 was simulated for a wavelength of 1.5418 Å.

Most intense lines, 2θ = 5–70°, by angle:
| Position (°2θ) | intensity | index |
| --- | --- | --- |
| 33.5 | 38 | 1 2 -1 |
| 36.8 | 100 | -2 2 1 |
| 37.1 | 68 | 0 2 1 |
| 37.7 | 42 | 1 0 -3 |
| 39.5 | 39 | 1 2 -3 |
| 43.2 | 45 | 2 0 1 |

Structural model:
```
data_Mg4Si3
_space_group_name_H-M_alt 'P 1'
_space_group_IT_number 1
_cell_length_a 5.9950
_cell_length_b 7.2170
_cell_length_c 7.5807
_cell_angle_alpha 108.92
_cell_angle_beta 109.83
_cell_angle_gamma 103.93
loop_
_space_group_symop_operation_xyz
'x,y,z'
loop_
_atom_site_label
_atom_site_type_symbol
_atom_site_fract_x
_atom_site_fract_y
_atom_site_fract_z
Mg1 Mg 0.0000 0.0000 0.0000
Mg2 Mg 0.0572 0.4400 0.3215
Mg3 Mg 0.1864 0.2937 0.6873
Mg4 Mg 0.2985 0.7350 0.0842
Mg5 Mg 0.5045 0.0785 0.9210
Mg6 Mg 0.6034 0.3139 0.4921
Mg7 Mg 0.6678 0.8649 0.5280
Mg8 Mg 0.7355 0.6080 0.0489
Si1 Si 0.0530 0.7094 0.6764
Si2 Si 0.1486 0.8986 0.4411
Si3 Si 0.3752 0.3888 0.1256
Si4 Si 0.4605 0.6625 0.7155
Si5 Si 0.8147 0.0371 0.2901
Si6 Si 0.9134 0.3111 0.8995
```

***

[9]
Starting from the GGA-PBE geometry in the Materials Project, the powder X-ray diffraction pattern of Mg4Si3 was simulated for a wavelength of 1.5418 Å.

Most intense lines, 2θ = 5–70°, by angle:
| Position (°2θ) | intensity | index |
| --- | --- | --- |
| 31.6 | 76 | 2 0 -1 |
| 34.1 | 49 | 0 2 2 |
| 35.9 | 80 | 2 2 2 |
| 39.4 | 100 | 0 0 3 |
| 41.0 | 46 | 2 0 2 |
| 41.9 | 53 | 1 3 0 |

Structural model:
```
data_Mg4Si3
_space_group_name_H-M_alt 'P -1'
_space_group_IT_number 2
_cell_length_a 6.8403
_cell_length_b 6.8678
_cell_length_c 7.2066
_cell_angle_alpha 72.29
_cell_angle_beta 84.72
_cell_angle_gamma 62.28
loop_
_space_group_symop_operation_xyz
'x,y,z'
'-x,-y,-z'
loop_
_atom_site_label
_atom_site_type_symbol
_atom_site_fract_x
_atom_site_fract_y
_atom_site_fract_z
Mg1 Mg 0.1442 0.2557 0.1233
Mg2 Mg 0.2132 0.9093 0.8796
Mg3 Mg 0.2270 0.2632 0.5195
Mg4 Mg 0.2305 0.7916 0.4710
Si1 Si 0.1047 0.6311 0.2064
Si2 Si 0.4794 0.1419 0.8370
Si3 Si 0.4971 0.5107 0.1768
```

***

[10]
Starting from the GGA-PBE geometry in the Materials Project, the powder X-ray diffraction pattern of Mg3Si4 was simulated for a wavelength of 1.5418 Å.

Most intense lines, 2θ = 5–70°, by angle:
| Position (°2θ) | intensity | index |
| --- | --- | --- |
| 31.0 | 51 | -2 1 1 |
| 35.1 | 41 | 0 1 2 |
| 35.7 | 100 | 2 -2 0 |
| 36.3 | 51 | 0 1 -3 |
| 38.1 | 57 | 2 1 -2 |
| 39.9 | 65 | 2 0 1 |

Structural model:
```
data_Mg3Si4
_space_group_name_H-M_alt 'P 1'
_space_group_IT_number 1
_cell_length_a 6.0481
_cell_length_b 6.6568
_cell_length_c 7.6793
_cell_angle_alpha 107.38
_cell_angle_beta 104.60
_cell_angle_gamma 105.48
loop_
_space_group_symop_operation_xyz
'x,y,z'
loop_
_atom_site_label
_atom_site_type_symbol
_atom_site_fract_x
_atom_site_fract_y
_atom_site_fract_z
Mg1 Mg 0.0000 0.0000 0.0000
Mg2 Mg 0.0106 0.6592 0.6246
Mg3 Mg 0.2665 0.6983 0.1279
Mg4 Mg 0.5267 0.5368 0.7649
Mg5 Mg 0.5573 0.9483 0.6238
Mg6 Mg 0.6332 0.1849 0.3630
Si1 Si 0.1224 0.0000 0.3885
Si2 Si 0.1307 0.3607 0.3576
Si3 Si 0.2039 0.1320 0.7362
Si4 Si 0.4421 0.9963 0.9470
Si5 Si 0.5444 0.5647 0.3891
Si6 Si 0.7382 0.6830 0.1706
Si7 Si 0.8188 0.3383 0.0660
Si8 Si 0.9456 0.3445 0.7929
```

***

[11]
Starting from the GGA-PBE geometry in the Materials Project, the powder X-ray diffraction pattern of Mg4Si3 was simulated for a wavelength of 1.5418 Å.

Most intense lines, 2θ = 5–70°, by angle:
| Position (°2θ) | intensity | index |
| --- | --- | --- |
| 33.9 | 37 | 0 2 1 |
| 35.4 | 100 | 2 0 -2 |
| 37.1 | 61 | 0 1 -3 |
| 37.2 | 70 | 0 3 -1 |
| 38.9 | 34 | 0 2 -3 |
| 41.8 | 67 | 2 -2 1 |

Structural model:
```
data_Mg4Si3
_space_group_name_H-M_alt 'P 1'
_space_group_IT_number 1
_cell_length_a 5.4817
_cell_length_b 7.5186
_cell_length_c 7.7709
_cell_angle_alpha 104.45
_cell_angle_beta 110.26
_cell_angle_gamma 104.96
loop_
_space_group_symop_operation_xyz
'x,y,z'
loop_
_atom_site_label
_atom_site_type_symbol
_atom_site_fract_x
_atom_site_fract_y
_atom_site_fract_z
Mg1 Mg 0.0000 0.0000 0.0000
Mg2 Mg 0.0484 0.7907 0.3555
Mg3 Mg 0.1392 0.3657 0.5027
Mg4 Mg 0.3941 0.1610 0.7876
Mg5 Mg 0.4826 0.4286 0.2234
Mg6 Mg 0.5812 0.9985 0.1472
Mg7 Mg 0.6753 0.8980 0.5242
Mg8 Mg 0.8240 0.5991 0.6727
Si1 Si 0.1537 0.6365 0.0388
Si2 Si 0.3943 0.7773 0.7295
Si3 Si 0.5261 0.1989 0.4727
Si4 Si 0.5920 0.6250 0.9657
Si5 Si 0.9076 0.3611 0.1245
Si6 Si 0.9574 0.2924 0.7993
```

***

[12]
Starting from the GGA-PBE geometry in the Materials Project, the powder X-ray diffraction pattern of Mg3Si4 was simulated for a wavelength of 1.5418 Å.

Most intense lines, 2θ = 5–70°, by angle:
| Position (°2θ) | intensity | index |
| --- | --- | --- |
| 32.8 | 30 | 2 1 0 |
| 35.7 | 72 | 2 1 -2 |
| 36.9 | 100 | 2 1 1 |
| 40.1 | 87 | 1 1 -3 |
| 42.5 | 32 | 4 0 -1 |
| 49.5 | 52 | 0 2 0 |

Structural model:
```
data_Mg3Si4
_space_group_name_H-M_alt 'P 1 m 1'
_space_group_IT_number 6
_cell_length_a 8.5214
_cell_length_b 3.6825
_cell_length_c 8.5299
_cell_angle_alpha 90.00
_cell_angle_beta 107.88
_cell_angle_gamma 90.00
loop_
_space_group_symop_operation_xyz
'x,y,z'
'x,-y,z'
loop_
_atom_site_label
_atom_site_type_symbol
_atom_site_fract_x
_atom_site_fract_y
_atom_site_fract_z
Mg1 Mg 0.0000 0.0000 0.0000
Mg2 Mg 0.0117 0.5000 0.6565
Mg3 Mg 0.1504 0.5000 0.3529
Mg4 Mg 0.5489 0.0000 0.0381
Mg5 Mg 0.6092 0.5000 0.3587
Mg6 Mg 0.6885 0.5000 0.8038
Si1 Si 0.2424 0.0000 0.8271
Si2 Si 0.2810 0.5000 0.0517
Si3 Si 0.3450 0.0000 0.2531
Si4 Si 0.3522 0.5000 0.6823
Si5 Si 0.4602 0.0000 0.5501
Si6 Si 0.7635 0.0000 0.6016
Si7 Si 0.8136 0.5000 0.1512
Si8 Si 0.8884 0.0000 0.3608
```